Ti6TlSb3: computed X-ray diffraction stick pattern (copper Kα), based on a DFT-relaxed cell (PBE, Alexandria).
Peak positions follow from Bragg's law for the DFT cell and can differ from measured ones.

Main lines, sorted by position (2θ = 10–90°):
(1 1 1), 2θ 17.49, I 38
(1 3 0), 2θ 22.50, I 31
(1 3 1), 2θ 25.88, I 31
(2 2 1), 2θ 27.41, I 73
(3 1 1), 2θ 33.72, I 46
(2 2 2), 2θ 35.40, I 100
(2 4 1), 2θ 36.24, I 78
(3 1 2), 2θ 40.59, I 29
(4 0 0), 2θ 40.88, I 33
(0 2 3), 2θ 40.96, I 54

Atomic structure:
Lattice parameters (Å, degrees): 8.8276 13.2572 7.0081 90.00 90.00 90.00
Space group Cmc2_1 (No. 36)
Asymmetric unit:
Ti1 0.0000 0.0516 0.0000 [4 per cell]
Ti2 0.0000 0.2644 0.7692 [4 per cell]
Ti3 0.1902 0.4276 0.8294 [8 per cell]
Ti4 0.2355 0.2114 0.0201 [8 per cell]
Tl1 0.0000 0.1923 0.3069 [4 per cell]
Sb1 0.0000 0.4274 0.5081 [4 per cell]
Sb2 0.1932 0.1018 0.6845 [8 per cell]

***

Ti3VSb: computed X-ray diffraction stick pattern (copper Kα), based on a DFT-relaxed cell (PBE, Alexandria).
Peak positions follow from Bragg's law for the DFT cell and can differ from measured ones.

Main lines, sorted by position (2θ = 10–90°):
(0 2 1), 2θ 22.30, I 31
(2 0 2), 2θ 31.09, I 44
(0 2 2), 2θ 31.93, I 36
(3 1 2), 2θ 37.63, I 53
(4 2 0), 2θ 38.36, I 45
(0 4 1), 2θ 39.00, I 100
(3 3 1), 2θ 39.66, I 31
(4 2 1), 2θ 40.65, I 73
(0 2 3), 2θ 43.85, I 61
(4 4 3), 2θ 66.00, I 31

Atomic structure:
Lattice parameters (Å, degrees): 10.6861 9.8202 6.8263 90.00 90.00 90.00
Space group Cmce (No. 64)
Asymmetric unit:
Ti1 0.0000 0.0828 0.1972 [8 per cell]
Ti2 0.1452 0.1800 0.8885 [16 per cell]
V1 0.0000 0.1247 0.5608 [8 per cell]
Sb1 0.2500 0.0686 0.2500 [8 per cell]